# LaTaNbOs2
Computed powder diffraction line list, Cu Kα (λ = 1.5418 Å). Input: a structure optimized by DFT (GGA-PBE).
Peak positions follow from Bragg's law for the DFT cell and can differ from measured ones.

```
10
Lattice="4.4271 0.0000 0.0000 0.0000 4.4271 0.0000 0.0000 0.0000 10.8353" Properties=species:S:1:pos:R:3 pbc="T T T"
La 0.0000 0.0000 0.0000
La 2.2135 2.2135 5.4177
Ta 0.0000 2.2135 2.7088
Ta 2.2135 0.0000 8.1265
Nb 0.0000 2.2135 8.1265
Nb 2.2135 0.0000 2.7088
Os 0.0000 0.0000 4.1131
Os 0.0000 0.0000 6.7223
Os 2.2135 2.2135 1.3046
Os 2.2135 2.2135 9.5307
```

Peak list (10 most intense, 2θ = 10–80°, in order of rising 2θ)
2θ 21.69, rel. 36.7, (1 0 1)
2θ 31.98, rel. 86.2, (1 0 3)
2θ 33.05, rel. 100.0, (1 1 2)
2θ 40.76, rel. 92.4, (2 0 0)
2θ 44.22, rel. 65.0, (1 1 4)
2θ 46.66, rel. 50.9, (1 0 5)
2θ 52.73, rel. 42.7, (2 1 3)
2θ 59.03, rel. 43.4, (2 2 0)
2θ 63.66, rel. 35.3, (2 1 5)
2θ 69.34, rel. 32.7, (0 0 8)